Starting from a crystal structure in the Materials Project, relaxed with PBE, the XRD peak list of KBCF6 was simulated for λ = 1.5418 Å (Cu Kα).
Peak positions follow from Bragg's law for the DFT cell and can differ from measured ones.

Structural model:
```
KBCF6
1.0
4.9141 0.0000 0.0000
0.0000 16.5896 0.0000
-1.3372 0.0000 6.2978
K B C F
4 4 4 24
direct
0.1805 0.1552 0.2201
0.1805 0.3448 0.7201
0.8195 0.6552 0.2799
0.8195 0.8448 0.7799
0.2856 0.6611 0.8475
0.2856 0.8389 0.3475
0.7144 0.1611 0.6525
0.7144 0.3389 0.1525
0.3859 0.5823 0.7266
0.3859 0.9177 0.2266
0.6141 0.0823 0.7734
0.6141 0.4177 0.2734
0.0478 0.6961 0.7147
0.0478 0.8039 0.2147
0.1990 0.5188 0.7030
0.1990 0.9812 0.2030
0.2242 0.6364 0.0437
0.2242 0.8636 0.5437
0.3632 0.0510 0.6731
0.3632 0.4490 0.1731
0.4138 0.5999 0.5199
0.4138 0.9001 0.0199
0.4940 0.2183 0.6097
0.4940 0.2817 0.1097
0.5060 0.7183 0.8903
0.5060 0.7817 0.3903
0.5862 0.0999 0.9801
0.5862 0.4001 0.4801
0.6368 0.5510 0.8269
0.6368 0.9490 0.3269
0.7758 0.1364 0.4563
0.7758 0.3636 0.9563
0.8010 0.0188 0.7970
0.8010 0.4812 0.2970
0.9522 0.1961 0.7853
0.9522 0.3039 0.2853
```

Top 12 peaks for 15° ≤ 2θ ≤ 90°, low angle first:
- 21.4°, I 71, hkl 0 4 0
- 21.5°, I 74, hkl 1 1 -1
- 26.1°, I 57, hkl 1 1 1
- 26.4°, I 53, hkl 1 3 -1
- 28.3°, I 53, hkl 0 0 2
- 34.2°, I 72, hkl 1 5 -1
- 35.5°, I 100, hkl 0 6 1
- 37.2°, I 55, hkl 1 0 2
- 37.5°, I 88, hkl 1 6 0
- 38.8°, I 62, hkl 2 2 -1
- 41.1°, I 57, hkl 1 5 -2
- 43.6°, I 79, hkl 1 1 -3

Starting from a crystal structure in the Materials Project, relaxed with PBE, the XRD peak list of Fe6BC was simulated for λ = 1.5418 Å (Cu Kα).
Peak positions follow from Bragg's law for the DFT cell and can differ from measured ones.

Structural model:
```
Fe6BC
1.0
6.6603 0.0000 0.0000
0.0000 4.4488 0.0000
0.0000 0.0000 5.2122
Fe B C
12 2 2
direct
0.0000 0.0925 0.0000
0.0000 0.9075 0.5000
0.1852 0.4121 0.3606
0.1852 0.5879 0.8606
0.3065 0.0954 0.7145
0.3065 0.9046 0.2145
0.5000 0.3817 0.0583
0.5000 0.6183 0.5583
0.6935 0.0954 0.7145
0.6935 0.9046 0.2145
0.8148 0.4121 0.3606
0.8148 0.5879 0.8606
0.5000 0.1804 0.4169
0.5000 0.8196 0.9169
0.0000 0.3147 0.6581
0.0000 0.6853 0.1581
```

Top 12 peaks for 15° ≤ 2θ ≤ 90°, low angle first:
- 37.9°, I 50, hkl 2 1 1
- 40.1°, I 29, hkl 0 1 2
- 42.4°, I 61, hkl 1 1 2
- 44.1°, I 73, hkl 2 0 2
- 44.3°, I 65, hkl 0 2 1
- 45.7°, I 100, hkl 3 1 0
- 46.4°, I 65, hkl 1 2 1
- 48.9°, I 54, hkl 2 1 2
- 49.1°, I 37, hkl 3 1 1
- 52.5°, I 29, hkl 2 2 1
- 56.9°, I 27, hkl 0 1 3
- 82.8°, I 33, hkl 3 2 3